Diffraction record for Gd3Te2NO. The powder XRD pattern is calculated, not measured: it uses a cell relaxed with PBE and Cu Kα, 1.54184 Å.
Neutral-atom scattering factors, no anomalous dispersion.

Most intense lines, 2θ = 10–90°, low angle first:
26.41°, I 45; 29.22°, I 66; 29.97°, I 27; 30.34°, I 67; 31.63°, I 49; 32.94°, I 100; 33.70°, I 41; 33.95°, I 46; 44.10°, I 38; 45.76°, I 26; 53.78°, I 24; 54.22°, I 25

Cell and atoms:
```
Gd3Te2NO
1.0
13.5231 0.0000 0.0000
0.0000 4.1071 0.0000
0.0000 0.0000 12.2263
Gd Te N O
12 8 4 4
Cartesian
0.2985 1.0268 1.4853
1.4187 3.0803 7.5103
2.5577 1.0268 10.4153
4.2039 3.0803 4.3022
5.3429 1.0268 1.3972
6.4630 3.0803 7.5984
7.0601 1.0268 4.6278
8.1802 3.0803 10.8291
9.3192 1.0268 7.9241
10.9654 3.0803 1.8110
12.1044 1.0268 4.7160
13.2245 3.0803 10.7410
0.8982 3.0803 4.2500
3.0839 3.0803 0.8919
3.6777 1.0268 7.0050
5.8633 1.0268 10.3632
7.6597 3.0803 1.8631
9.8454 3.0803 5.2213
10.4392 1.0268 11.3344
12.6249 1.0268 7.9762
1.7634 3.0803 9.6472
4.9981 1.0268 3.5341
8.5249 3.0803 8.6921
11.7597 1.0268 2.5790
0.5501 1.0268 11.4075
6.2115 3.0803 5.2944
7.3116 1.0268 6.9319
12.9730 3.0803 0.8187
```